Simulated X-ray diffraction stick pattern
Compound: ScHW2
Radiation: a wavelength of 1.5418 Å
Structure: DFT lattice parameters and positions (PBE)
Kinematic intensities with the Lorentz-polarization factor, no thermal factor.

Structure:
```
data_ScHW2
_chemical_formula_sum 'Sc2 H2 W4'
_cell_length_a 5.599
_cell_length_b 5.599
_cell_length_c 5.599
_cell_angle_alpha 119.83
_cell_angle_beta 119.83
_cell_angle_gamma 90.29
_space_group_name_H-M_alt 'P 1'
_space_group_IT_number 1
_space_group_name_Hall 'P 1'
loop_
_atom_site_label
_atom_site_fract_x
_atom_site_fract_y
_atom_site_fract_z
Sc1 0.375 0.625 0.750
Sc2 0.625 0.375 0.250
H1 0.125 0.875 0.250
H2 0.875 0.125 0.750
W1 0.000 0.000 0.000
W2 0.000 0.000 0.500
W3 0.000 0.500 0.000
W4 0.500 0.000 0.500
```

Peak list (10 most intense, 2θ = 5–70°, most intense first)
2θ (°)  I/Imax
19.40  100
39.39  99
37.60  77
37.74  38
66.84  26
45.72  25
60.63  19
50.22  17
66.65  13
45.97  12